Record 1
Diffraction record for Sc4SN2. The X-ray powder pattern is simulated, not measured: it uses a PBE-relaxed structure and Cu Kα X-rays.

Principal peaks in the range 2θ = 10–90°, in order of rising 2θ:
2theta, I/Imax
15.19, 17
34.93, 100
35.32, 49
44.37, 50
44.64, 24
56.18, 26

Structure:
Cell lengths 12.9562, 3.3173, 5.6476 Å; angles 90.00, 115.77, 90.00 degrees
Atoms (fractional coordinates):
Sc: 0.1456 0.0000 0.3102
Sc: 0.1465 0.5000 0.8141
Sc: 0.3535 0.0000 0.1859
Sc: 0.3544 0.5000 0.6898
Sc: 0.6465 0.0000 0.8141
Sc: 0.6456 0.5000 0.3102
Sc: 0.8544 0.0000 0.6898
Sc: 0.8535 0.5000 0.1859
S: 0.0000 0.0000 0.5000
S: 0.5000 0.5000 0.5000
N: 0.2412 0.5000 0.2449
N: 0.2588 0.0000 0.7551
N: 0.7412 0.0000 0.2449
N: 0.7588 0.5000 0.7551


Record 2
Diffraction record for ThZn3CuAg. The X-ray powder pattern is simulated, not measured: it uses a PBE-relaxed structure and Cu Kα X-rays.

Principal peaks in the range 2θ = 10–90°, in order of rising 2θ:
2theta, I/Imax
22.03, 68
27.64, 64
32.38, 62
41.47, 56
42.47, 100
43.08, 57

Structure:
Cell lengths 7.1106, 7.1106, 5.6631 Å; angles 90.00, 90.00, 126.03 degrees
Atoms (fractional coordinates):
Th: 0.2082 0.7918 0.7500
Th: 0.7918 0.2082 0.2500
Zn: 0.1910 0.1910 0.0000
Zn: 0.1910 0.1910 0.5000
Zn: 0.3495 0.6505 0.2500
Zn: 0.6505 0.3495 0.7500
Zn: 0.8090 0.8090 0.0000
Zn: 0.8090 0.8090 0.5000
Cu: 0.1451 0.8549 0.2500
Cu: 0.8549 0.1451 0.7500
Ag: 0.4352 0.5648 0.7500
Ag: 0.5648 0.4352 0.2500


Record 3
Diffraction record for Cs2PtC2O4F4. The X-ray powder pattern is simulated, not measured: it uses a PBE-relaxed structure and Cu Kα X-rays.

Principal peaks in the range 2θ = 10–90°, in order of rising 2θ:
2theta, I/Imax
17.87, 39
22.45, 41
24.18, 100
28.89, 43
33.32, 31
36.80, 32

Structure:
Cell lengths 8.2127, 8.2127, 9.9292 Å; angles 90.26, 90.26, 45.85 degrees
Atoms (fractional coordinates):
Cs: 0.0447 0.0447 0.2092
Cs: 0.2741 0.2741 0.8325
Cs: 0.7259 0.7259 0.1675
Cs: 0.9553 0.9553 0.7908
Pt: 0.3819 0.3819 0.1938
Pt: 0.6181 0.6181 0.8062
C: 0.2403 0.4840 0.4622
C: 0.4840 0.2403 0.4622
C: 0.5160 0.7597 0.5378
C: 0.7597 0.5160 0.5378
O: 0.1336 0.5763 0.5670
O: 0.1606 0.5823 0.3429
O: 0.4177 0.8394 0.6571
O: 0.4237 0.8664 0.4330
O: 0.5763 0.1336 0.5670
O: 0.5823 0.1606 0.3429
O: 0.8394 0.4177 0.6571
O: 0.8664 0.4237 0.4330
F: 0.1671 0.6140 0.0531
F: 0.2512 0.2512 0.1649
F: 0.3860 0.8329 0.9469
F: 0.4887 0.4887 0.7782
F: 0.5113 0.5113 0.2218
F: 0.6140 0.1671 0.0531
F: 0.7488 0.7488 0.8351
F: 0.8329 0.3860 0.9469


What did the third record say?
Diffraction record for Cs2PtC2O4F4. The X-ray powder pattern is simulated, not measured: it uses a PBE-relaxed structure and Cu Kα X-rays.

Principal peaks in the range 2θ = 10–90°, in order of rising 2θ:
2theta, I/Imax
17.87, 39
22.45, 41
24.18, 100
28.89, 43
33.32, 31
36.80, 32

Structure:
Cell lengths 8.2127, 8.2127, 9.9292 Å; angles 90.26, 90.26, 45.85 degrees
Atoms (fractional coordinates):
Cs: 0.0447 0.0447 0.2092
Cs: 0.2741 0.2741 0.8325
Cs: 0.7259 0.7259 0.1675
Cs: 0.9553 0.9553 0.7908
Pt: 0.3819 0.3819 0.1938
Pt: 0.6181 0.6181 0.8062
C: 0.2403 0.4840 0.4622
C: 0.4840 0.2403 0.4622
C: 0.5160 0.7597 0.5378
C: 0.7597 0.5160 0.5378
O: 0.1336 0.5763 0.5670
O: 0.1606 0.5823 0.3429
O: 0.4177 0.8394 0.6571
O: 0.4237 0.8664 0.4330
O: 0.5763 0.1336 0.5670
O: 0.5823 0.1606 0.3429
O: 0.8394 0.4177 0.6571
O: 0.8664 0.4237 0.4330
F: 0.1671 0.6140 0.0531
F: 0.2512 0.2512 0.1649
F: 0.3860 0.8329 0.9469
F: 0.4887 0.4887 0.7782
F: 0.5113 0.5113 0.2218
F: 0.6140 0.1671 0.0531
F: 0.7488 0.7488 0.8351
F: 0.8329 0.3860 0.9469